For Na4Ni2PC4O16, a cell relaxed with PBE+U gives the calculated powder XRD pattern in this record (Cu Kα, 1.54184 Å).
No peak broadening, texture or thermal motion is included.

Principal peaks in the range 10° ≤ 2θ ≤ 80°, in order of falling intensity:
two_theta  d/Å  I (rel.)  h k l
11.0  8.075  100  1 1 1
21.3  4.179  93  3 1 1
20.7  4.296  83  1 1 3
36.1  2.488  64  4 0 4
17.8  4.976  58  0 2 2
33.7  2.657  49  5 1 1
33.6  2.667  45  1 5 1
32.5  2.754  37  1 1 5
22.0  4.038  26  2 2 2
36.8  2.442  26  4 4 0

Cell and atoms:
Cell: 13.7859 13.8446 14.3498 Å, 90.00 90.00 90.00°
Space group Fddd (No. 70, origin choice 2)
Symmetry-distinct sites (fractional):
Na (0.0873, 0.3750, 0.3750) x16
Na (0.1250, 0.3381, 0.1250) x16
Ni (0.0000, 0.0000, 0.5000) x16
P (0.1250, 0.1250, 0.1250) x8
C (0.0327, 0.0335, 0.7123) x32
O (0.0166, 0.1019, 0.7715) x32
O (0.0232, 0.2756, 0.8908) x32
O (0.0605, 0.0596, 0.0635) x32
O (0.1014, 0.2782, 0.5233) x32